Ba2ZnCd6Pt: calculated powder XRD pattern (copper Kα), based on the PBE geometry in Alexandria.
Neutral-atom scattering factors, no anomalous dispersion.

Structure:
Lattice parameters (Å, degrees): 7.323 7.324 7.457 60.89 60.76 60.29
Sites, in units of the cell vectors:
1 Ba 0.210 0.209 0.372
2 Ba 0.790 0.791 0.628
3 Zn 0.500 0.500 0.500
4 Cd 0.249 0.253 0.828
5 Cd 0.252 0.670 0.828
6 Cd 0.329 0.748 0.173
7 Cd 0.671 0.252 0.827
8 Cd 0.748 0.330 0.172
9 Cd 0.751 0.747 0.172
10 Pt 0.000 0.000 0.000

Principal peaks in the range 10° ≤ 2θ ≤ 80°, most intense first:
2θ/deg  I (rel.)  h k l
34.27  100.0  2 2 0
27.93  92.3  1 0 2
29.69  38.3  2 0 0
16.94  31.2  1 1 0
49.80  29.3  4 2 2
24.31  25.6  1 2 1
14.38  23.4  0 0 1
29.85  18.8  2 2 2
37.68  16.1  2 -1 0
37.89  15.8  3 2 2